This entry pairs a crystal structure of Ba21Ge2O5 with its calculated XRD peak list. Radiation: CuKα. Structure: the PBE geometry in the Materials Project.

Main lines, sorted by position (15 to 90 degrees two-theta):
2θ/deg	I (rel.)
24.73	100
26.47	30
27.46	57
27.78	66
29.05	26
29.96	44
35.77	36
48.35	47

Structural model:
a b c (Å): 21.2992 21.2992 21.2992
angles (deg): 90.00 90.00 90.00
Space group Fd-3m (No. 227, origin choice 2)
Symmetry-distinct sites (fractional):
Ba (0.0000, 0.0000, 0.0000) [16 per cell]
Ba (0.0011, 0.3750, 0.8750) [48 per cell]
Ba (0.0510, 0.0510, 0.3292) [96 per cell]
Ba (0.1250, 0.1250, 0.1250) [8 per cell]
Ge (0.0000, 0.0000, 0.5000) [16 per cell]
O (0.0331, 0.0331, 0.7169) [32 per cell]
O (0.1250, 0.1250, 0.6250) [8 per cell]